Structure and calculated powder diffractogram of CsNaPAu (the PBE geometry in Alexandria; Cu Kα (weighted mean of Kα1 and Kα2)).
No peak broadening, texture or thermal motion is included.

Top 10 peaks for 10° ≤ 2θ ≤ 90°, by angle:
| two_theta | Rel. int. | (hkl) |
| --- | --- | --- |
| 14.6 | 21.5 | 0 0 2 |
| 18.7 | 67.7 | 0 1 1 |
| 21.1 | 44.7 | 1 0 1 |
| 28.0 | 46.9 | 0 1 3 |
| 29.3 | 27.2 | 0 0 4 |
| 30.2 | 100.0 | 1 1 2 |
| 34.9 | 23.0 | 0 2 0 |
| 49.6 | 19.4 | 2 1 3 |
| 52.6 | 23.2 | 1 1 6 |
| 55.9 | 20.8 | 1 2 5 |

Structure:
Cell lengths 4.499, 5.140, 12.174 Å; angles 90.00, 90.00, 90.00 degrees
Space group Imm2 (No. 44)
One atom of each set of equivalent atoms:
Cs (0.000, 0.000, 0.000)
Na (0.000, 0.500, 0.753)
P (0.000, 0.000, 0.666)
Au (0.000, 0.500, 0.227)


Structure and calculated powder diffractogram of CsNaTl2Au (the PBE geometry in Alexandria; Cu Kα (weighted mean of Kα1 and Kα2)).
No peak broadening, texture or thermal motion is included.

Top 10 peaks for 10° ≤ 2θ ≤ 90°, by angle:
| two_theta | Rel. int. | (hkl) |
| --- | --- | --- |
| 17.9 | 48.4 | 0 1 1 |
| 20.0 | 40.1 | 1 0 1 |
| 25.7 | 50.1 | 0 1 3 |
| 27.3 | 38.9 | 1 0 3 |
| 28.5 | 100.0 | 1 1 2 |
| 33.7 | 50.3 | 0 2 0 |
| 36.7 | 61.2 | 1 1 4 |
| 37.0 | 38.0 | 0 1 5 |
| 38.1 | 38.6 | 1 0 5 |
| 38.4 | 35.3 | 2 0 0 |

Structure:
Cell lengths 4.690, 5.324, 13.659 Å; angles 90.00, 90.00, 90.00 degrees
Space group Imm2 (No. 44)
One atom of each set of equivalent atoms:
Cs (0.000, 0.000, 0.000)
Na (0.000, 0.500, 0.722)
Tl (0.000, 0.000, 0.384)
Tl (0.000, 0.500, 0.241)
Au (0.000, 0.000, 0.604)


Structure and calculated powder diffractogram of CsNaTlAu2 (the PBE geometry in Alexandria; Cu Kα (weighted mean of Kα1 and Kα2)).
No peak broadening, texture or thermal motion is included.

Top 10 peaks for 10° ≤ 2θ ≤ 90°, by angle:
| two_theta | Rel. int. | (hkl) |
| --- | --- | --- |
| 19.2 | 90.2 | 1 0 1 |
| 25.4 | 36.5 | 1 1 0 |
| 27.9 | 89.0 | 1 0 3 |
| 29.1 | 100.0 | 1 1 2 |
| 36.2 | 90.5 | 2 0 0 |
| 38.5 | 60.2 | 1 1 4 |
| 40.2 | 67.3 | 1 0 5 |
| 46.3 | 45.4 | 2 1 3 |
| 52.1 | 32.1 | 2 2 0 |
| 55.2 | 54.0 | 2 1 5 |

Structure:
Cell lengths 4.967, 4.967, 12.555 Å; angles 90.00, 90.00, 90.00 degrees
Space group I-4m2 (No. 119)
One atom of each set of equivalent atoms:
Cs (0.000, 0.000, 0.000)
Na (0.000, 0.500, 0.750)
Tl (0.000, 0.500, 0.250)
Au (0.000, 0.000, 0.388)


Structure and calculated powder diffractogram of Cs2NaTlAu2 (the PBE geometry in Alexandria; Cu Kα (weighted mean of Kα1 and Kα2)).
No peak broadening, texture or thermal motion is included.

Top 10 peaks for 10° ≤ 2θ ≤ 90°, by angle:
| two_theta | Rel. int. | (hkl) |
| --- | --- | --- |
| 10.4 | 32.9 | 0 2 0 |
| 13.5 | 30.3 | 1 1 0 |
| 20.1 | 26.6 | 1 3 0 |
| 27.2 | 100.0 | 1 4 1 |
| 31.6 | 39.0 | 0 4 2 |
| 32.9 | 34.2 | 2 4 0 |
| 34.6 | 68.2 | 2 0 2 |
| 43.6 | 25.8 | 1 4 3 |
| 45.6 | 26.6 | 3 4 1 |
| 46.3 | 26.0 | 1 8 1 |

Structure:
Cell lengths 7.085, 16.968, 7.588 Å; angles 90.00, 90.00, 90.00 degrees
Space group Ibam (No. 72)
One atom of each set of equivalent atoms:
Cs (0.245, 0.176, 0.000)
Na (0.000, 0.000, 0.250)
Tl (0.000, 0.500, 0.250)
Au (0.239, 0.406, 0.000)